1.
Diffraction record for TbSm2ScIn2. The powder diffractogram is computed, not measured: it uses a crystal structure in Alexandria, relaxed with PBE and copper Kα.
Peak positions follow from Bragg's law for the DFT cell and can differ from measured ones.

```
data_TbSm2ScIn2
_symmetry_space_group_name_H-M 'P m c 21'
_symmetry_Int_Tables_number 26
_symmetry_space_group_name_Hall 'P 2c -2'
_cell_length_a 5.2901
_cell_length_b 9.3624
_cell_length_c 6.7766
_cell_angle_alpha 90.00
_cell_angle_beta 90.00
_cell_angle_gamma 90.00
loop_
_atom_site_label
_atom_site_type_symbol
_atom_site_fract_x
_atom_site_fract_y
_atom_site_fract_z
Tb1 Tb 0.0000 0.0150 0.0000
Sm1 Sm 0.0000 0.3341 0.2762
Sm2 Sm 0.5000 0.4830 0.0070
Sc1 Sc 0.5000 0.1708 0.7349
In1 In 0.0000 0.3229 0.7612
In2 In 0.5000 0.1481 0.2500
```

Main lines, in order of falling intensity (5 to 70 degrees two-theta):
Position (°2θ)  d_spacing  intensity
32.81  2.729  100
33.33  2.688  90
32.62  2.745  47
33.89  2.645  46
47.75  1.905  32
65.08  1.433  23
59.96  1.543  17
59.36  1.557  17
47.20  1.926  17
60.28  1.535  16

=====

2.
Diffraction record for Sm2Y2Sc3. The powder diffractogram is computed, not measured: it uses a crystal structure in Alexandria, relaxed with PBE and copper Kα.
Peak positions follow from Bragg's law for the DFT cell and can differ from measured ones.

```
data_Sm2Y2Sc3
_symmetry_space_group_name_H-M 'P b a m'
_symmetry_Int_Tables_number 55
_symmetry_space_group_name_Hall '-P 2 2ab'
_cell_length_a 6.4430
_cell_length_b 12.0099
_cell_length_c 5.3911
_cell_angle_alpha 90.00
_cell_angle_beta 90.00
_cell_angle_gamma 90.00
loop_
_atom_site_label
_atom_site_type_symbol
_atom_site_fract_x
_atom_site_fract_y
_atom_site_fract_z
Sm1 Sm 0.1145 0.1954 0.0000
Y1 Y 0.0295 0.6466 0.5000
Sc1 Sc 0.0000 0.0000 0.5000
Sc2 Sc 0.2199 0.4668 0.0000
```

Main lines, in order of falling intensity (5 to 70 degrees two-theta):
Position (°2θ)  d_spacing  intensity
33.24  2.695  100
31.10  2.876  100
37.00  2.429  21
28.69  3.112  19
32.91  2.721  19
22.75  3.909  19
14.75  6.005  18
16.44  5.391  17
32.37  2.765  17
58.05  1.589  16

=====

3.
Diffraction record for ErThCo2P2. The powder diffractogram is computed, not measured: it uses a crystal structure in Alexandria, relaxed with PBE and copper Kα.
Peak positions follow from Bragg's law for the DFT cell and can differ from measured ones.

```
data_ErThCo2P2
_symmetry_space_group_name_H-M 'P -3 m 1'
_symmetry_Int_Tables_number 164
_symmetry_space_group_name_Hall '-P 3 2"'
_cell_length_a 3.8922
_cell_length_b 3.8922
_cell_length_c 7.8764
_cell_angle_alpha 90.00
_cell_angle_beta 90.00
_cell_angle_gamma 120.00
loop_
_atom_site_label
_atom_site_type_symbol
_atom_site_fract_x
_atom_site_fract_y
_atom_site_fract_z
Er1 Er 0.0000 0.0000 0.0000
Th1 Th 0.0000 0.0000 0.5000
Co1 Co 0.3333 0.6667 0.2592
P1 P 0.3333 0.6667 0.7691
```

Main lines, in order of falling intensity (5 to 70 degrees two-theta):
Position (°2θ)  d_spacing  intensity
35.04  2.561  100
26.44  3.371  38
46.67  1.946  32
59.68  1.549  21
67.69  1.384  20
53.93  1.700  12
46.10  1.969  11
22.58  3.938  8
52.45  1.745  6
54.44  1.685  6

=====

4.
Diffraction record for BaNaVN3. The powder diffractogram is computed, not measured: it uses a crystal structure in Alexandria, relaxed with PBE and copper Kα.
Peak positions follow from Bragg's law for the DFT cell and can differ from measured ones.

```
data_BaNaVN3
_symmetry_space_group_name_H-M 'C 1 2/c 1'
_symmetry_Int_Tables_number 15
_symmetry_space_group_name_Hall '-C 2yc'
_cell_length_a 5.9940
_cell_length_b 11.1416
_cell_length_c 5.4542
_cell_angle_alpha 90.00
_cell_angle_beta 99.10
_cell_angle_gamma 90.00
loop_
_atom_site_label
_atom_site_type_symbol
_atom_site_fract_x
_atom_site_fract_y
_atom_site_fract_z
Ba1 Ba 0.0000 0.2385 0.2500
Na1 Na 0.0000 0.0709 0.7500
V1 V 0.0000 0.4526 0.7500
N1 N 0.0000 0.2921 0.7500
N2 N 0.2060 0.4640 0.4832
```

Main lines, in order of falling intensity (5 to 70 degrees two-theta):
Position (°2θ)  d_spacing  intensity
34.20  2.622  100
31.71  2.822  85
21.98  4.044  74
30.20  2.959  69
33.27  2.693  51
41.63  2.170  43
32.14  2.785  40
25.35  3.514  40
34.31  2.613  28
52.93  1.730  27

=====

5.
Diffraction record for RbNaUTe3. The powder diffractogram is computed, not measured: it uses a crystal structure in Alexandria, relaxed with PBE and copper Kα.
Peak positions follow from Bragg's law for the DFT cell and can differ from measured ones.

```
data_RbNaUTe3
_symmetry_space_group_name_H-M 'P 1 21/m 1'
_symmetry_Int_Tables_number 11
_symmetry_space_group_name_Hall '-P 2yb'
_cell_length_a 9.8599
_cell_length_b 4.6475
_cell_length_c 10.7970
_cell_angle_alpha 90.00
_cell_angle_beta 107.31
_cell_angle_gamma 90.00
loop_
_atom_site_label
_atom_site_type_symbol
_atom_site_fract_x
_atom_site_fract_y
_atom_site_fract_z
Rb1 Rb 0.2248 0.2500 0.2612
Na1 Na 0.0729 0.2500 0.6007
U1 U 0.3227 0.7500 0.8518
Te1 Te 0.1294 0.2500 0.8882
Te2 Te 0.2500 0.7500 0.5596
Te3 Te 0.4669 0.7500 0.1492
```

Main lines, in order of falling intensity (5 to 70 degrees two-theta):
Position (°2θ)  d_spacing  intensity
26.53  3.360  100
10.68  8.287  82
8.58  10.308  53
26.96  3.307  51
42.63  2.121  36
39.59  2.277  35
30.23  2.957  32
25.93  3.436  31
38.75  2.324  31
33.40  2.683  28

=====

6.
Diffraction record for Th2AlHg3. The powder diffractogram is computed, not measured: it uses a crystal structure in Alexandria, relaxed with PBE and copper Kα.
Peak positions follow from Bragg's law for the DFT cell and can differ from measured ones.

```
data_Th2AlHg3
_symmetry_space_group_name_H-M 'P m m 2'
_symmetry_Int_Tables_number 25
_symmetry_space_group_name_Hall 'P 2 -2'
_cell_length_a 3.5717
_cell_length_b 4.9233
_cell_length_c 8.5101
_cell_angle_alpha 90.00
_cell_angle_beta 90.00
_cell_angle_gamma 90.00
loop_
_atom_site_label
_atom_site_type_symbol
_atom_site_fract_x
_atom_site_fract_y
_atom_site_fract_z
Th1 Th 0.0000 0.0000 0.0000
Th2 Th 0.0000 0.5000 0.4932
Al1 Al 0.5000 0.0000 0.3257
Hg1 Hg 0.5000 0.0000 0.6506
Hg2 Hg 0.5000 0.5000 0.1716
Hg3 Hg 0.5000 0.5000 0.8306
```

Main lines, in order of falling intensity (5 to 70 degrees two-theta):
Position (°2θ)  d_spacing  intensity
32.72  2.737  100
36.54  2.459  71
49.85  1.829  31
64.48  1.445  28
63.35  1.468  21
20.86  4.259  10
63.42  1.467  9
51.15  1.786  9
65.74  1.421  9
10.39  8.510  7

=====

7.
Diffraction record for Sm2Al6Pd9. The powder diffractogram is computed, not measured: it uses a crystal structure in Alexandria, relaxed with PBE and copper Kα.
Peak positions follow from Bragg's law for the DFT cell and can differ from measured ones.

```
data_Sm2Al6Pd9
_symmetry_space_group_name_H-M 'P 6/m m m'
_symmetry_Int_Tables_number 191
_symmetry_space_group_name_Hall '-P 6 2'
_cell_length_a 5.5989
_cell_length_b 5.5989
_cell_length_c 11.8756
_cell_angle_alpha 90.00
_cell_angle_beta 90.00
_cell_angle_gamma 120.00
loop_
_atom_site_label
_atom_site_type_symbol
_atom_site_fract_x
_atom_site_fract_y
_atom_site_fract_z
Sm1 Sm 0.0000 0.0000 0.1954
Al1 Al 0.3333 0.6667 0.1637
Al2 Al 0.3333 0.6667 0.5000
Pd1 Pd 0.0000 0.5000 0.0000
Pd2 Pd 0.0000 0.5000 0.3311
```

Main lines, in order of falling intensity (5 to 70 degrees two-theta):
Position (°2θ)  d_spacing  intensity
37.08  2.424  100
29.12  3.066  67
39.42  2.286  65
43.79  2.067  55
60.37  1.533  35
22.46  3.959  27
66.84  1.400  25
23.69  3.756  23
55.23  1.663  22
45.85  1.979  21